Computed X-ray diffraction stick pattern
Compound: Rb2PuI2O2
Radiation: Cu Ka
Structure: a GGA-PBE-relaxed structure

Crystal structure
```
data_Rb2PuI2O2
_symmetry_space_group_name_H-M 'I 4/m m m'
_symmetry_Int_Tables_number 139
_symmetry_space_group_name_Hall '-I 4 2'
_cell_length_a 4.525
_cell_length_b 4.525
_cell_length_c 19.974
_cell_angle_alpha 90.00
_cell_angle_beta 90.00
_cell_angle_gamma 90.00
loop_
_atom_site_label
_atom_site_fract_x
_atom_site_fract_y
_atom_site_fract_z
Rb1 0.000 0.000 0.105
Pu1 0.000 0.000 0.500
I1 0.000 0.000 0.336
O1 0.000 0.500 0.000
```

The 12 most intense peaks (15 to 90 degrees two-theta), by angle:
(hkl)  2θ (°)  d_spacing  Rel. int.
1 0 1  20.12  4.413  50.6
0 0 6  26.78  3.329  20.3
1 1 0  27.88  3.200  89.2
1 0 5  29.83  2.995  100.0
1 0 7  37.25  2.414  34.3
1 1 6  39.05  2.307  20.9
2 0 0  39.84  2.262  42.0
2 0 6  48.66  1.871  15.8
2 1 5  50.56  1.805  46.1
2 1 7  55.69  1.651  21.7
2 2 0  57.62  1.600  14.1
3 1 0  65.20  1.431  16.6

=====

Computed X-ray diffraction stick pattern
Compound: Rb2IO5
Radiation: Cu Ka
Structure: a GGA-PBE-relaxed structure

Crystal structure
```
data_Rb2IO5
_symmetry_space_group_name_H-M 'C 1 c 1'
_symmetry_Int_Tables_number 9
_cell_length_a 13.715
_cell_length_b 6.567
_cell_length_c 7.657
_cell_angle_alpha 90.00
_cell_angle_beta 122.19
_cell_angle_gamma 90.00
loop_
_symmetry_equiv_pos_as_xyz
'x,y,z'
'x,-y,z+1/2'
'x+1/2,y+1/2,z'
'x+1/2,-y+1/2,z+1/2'
loop_
_atom_site_label
_atom_site_fract_x
_atom_site_fract_y
_atom_site_fract_z
Rb1 0.000 0.005 0.000
Rb2 0.331 0.007 0.415
I1 0.165 0.500 0.458
O1 0.015 0.404 0.337
O2 0.111 0.244 0.846
O3 0.165 0.392 0.208
O4 0.220 0.245 0.571
O5 0.316 0.403 0.079
```

The 12 most intense peaks (15 to 90 degrees two-theta), by angle:
(hkl)  2θ (°)  d_spacing  Rel. int.
1 1 0  15.50  5.716  21.7
3 1 0  26.74  3.334  100.0
0 2 0  27.16  3.284  46.5
0 0 2  27.53  3.240  40.2
1 1 -2  27.86  3.202  20.6
3 1 -2  28.26  3.158  85.1
0 2 2  39.06  2.306  31.5
6 0 -2  39.54  2.279  15.8
3 1 2  47.25  1.924  16.2
3 3 0  47.74  1.905  22.1
3 3 -2  48.65  1.871  32.8
6 2 0  55.10  1.667  16.6